For LiNb3O8, a GGA-PBE-relaxed structure gives the theoretical powder diffractogram in this record (Cu Kα (weighted mean of Kα1 and Kα2)).
Kinematic intensities with the Lorentz-polarization factor, no thermal factor.

The 8 most intense peaks (10 to 90 degrees two-theta), most intense first:
- hkl 0 1 4, 3.012 Å, 2θ 29.66, intensity 1000
- hkl 2 2 -6, 1.750 Å, 2θ 52.26, intensity 282
- hkl 0 0 4, 3.732 Å, 2θ 23.84, intensity 262
- hkl 0 2 0, 2.553 Å, 2θ 35.15, intensity 242
- hkl 1 1 0, 4.181 Å, 2θ 21.25, intensity 194
- hkl 0 1 2, 4.210 Å, 2θ 21.10, intensity 146
- hkl 2 2 6, 1.481 Å, 2θ 62.73, intensity 123
- hkl 4 2 0, 1.484 Å, 2θ 62.62, intensity 120

Structural model:
```
LiNb3O8
1.0
7.6323 0.0000 0.0000
0.0000 5.1019 0.0000
-4.5698 0.0000 14.9020
Li Nb O
4 12 32
Direct
0.2390 0.2412 0.0794
0.2390 0.2588 0.5794
0.7610 0.7412 0.4206
0.7610 0.7588 0.9206
0.0187 0.7389 0.1652
0.0187 0.7611 0.6652
0.2513 0.7429 0.4256
0.2513 0.7571 0.9256
0.4911 0.2306 0.3313
0.4911 0.2694 0.8313
0.5089 0.7306 0.1687
0.5089 0.7694 0.6687
0.7487 0.2429 0.0744
0.7487 0.2571 0.5744
0.9813 0.2389 0.3348
0.9813 0.2611 0.8348
0.0012 0.5605 0.4010
0.0012 0.9395 0.9010
0.0834 0.5859 0.7830
0.0834 0.9141 0.2830
0.1484 0.0654 0.4503
0.1484 0.4346 0.9503
0.2360 0.5989 0.1547
0.2360 0.9011 0.6547
0.2814 0.0829 0.8453
0.2814 0.4171 0.3453
0.3517 0.6053 0.5393
0.3517 0.8947 0.0393
0.4147 0.0676 0.2180
0.4147 0.4324 0.7180
0.4602 0.5797 0.8989
0.4602 0.9203 0.3989
0.5398 0.0797 0.6011
0.5398 0.4203 0.1011
0.5853 0.5676 0.2820
0.5853 0.9324 0.7820
0.6483 0.1053 0.9607
0.6483 0.3947 0.4607
0.7186 0.5829 0.6547
0.7186 0.9171 0.1547
0.7640 0.0989 0.3453
0.7640 0.4011 0.8453
0.8516 0.5654 0.0497
0.8516 0.9346 0.5497
0.9166 0.0859 0.7170
0.9166 0.4141 0.2170
0.9988 0.0605 0.0990
0.9988 0.4395 0.5990
```


For Li7Nb8O24, a GGA-PBE-relaxed structure gives the theoretical powder diffractogram in this record (Cu Kα (weighted mean of Kα1 and Kα2)).
Kinematic intensities with the Lorentz-polarization factor, no thermal factor.

The 8 most intense peaks (10 to 90 degrees two-theta), most intense first:
- hkl 1 1 1, 3.825 Å, 2θ 23.25, intensity 1000
- hkl 0 2 2, 2.788 Å, 2θ 32.10, intensity 364
- hkl 1 3 3, 1.752 Å, 2θ 52.20, intensity 260
- hkl 1 -3 1, 2.628 Å, 2θ 34.11, intensity 219
- hkl 2 2 2, 1.913 Å, 2θ 47.54, intensity 188
- hkl -3 1 1, 1.672 Å, 2θ 54.92, intensity 156
- hkl 2 4 -4, 1.547 Å, 2θ 59.79, intensity 115
- hkl 0 4 0, 2.166 Å, 2θ 41.69, intensity 115

Structural model:
```
Li7Nb8O24
1.0
5.2592 0.0000 0.0000
-0.0079 9.1012 0.0000
-0.0014 -3.0465 9.4044
Li Nb O
7 8 24
Direct
0.0000 0.0000 0.0000
0.0002 0.2464 0.7504
0.4954 0.7505 0.7479
0.4958 0.9987 0.5012
0.4965 0.2494 0.2512
0.9967 0.7130 0.1489
0.9986 0.4972 0.4955
0.4961 0.1113 0.8310
0.4956 0.3597 0.5820
0.4975 0.6119 0.3330
0.4974 0.8607 0.0851
0.9932 0.6086 0.8262
0.9956 0.1078 0.3350
0.9964 0.8581 0.5795
0.9985 0.3598 0.0875
0.1217 0.7200 0.6786
0.1242 0.2196 0.1810
0.1761 0.9157 0.1782
0.1774 0.4148 0.6772
0.1876 0.5396 0.1863
0.1939 0.0367 0.6782
0.2865 0.2752 0.9282
0.3030 0.6816 0.9289
0.3083 0.7897 0.4351
0.3154 0.1655 0.4301
0.3751 0.4705 0.4300
0.3789 0.9703 0.9303
0.6197 0.2228 0.6805
0.6202 0.7264 0.1847
0.6832 0.9154 0.6816
0.6866 0.4150 0.1881
0.6884 0.5403 0.6808
0.6911 0.0409 0.1809
0.7999 0.7855 0.9344
0.8027 0.2882 0.4309
0.8089 0.1702 0.9330
0.8091 0.6659 0.4365
0.8722 0.9770 0.4364
0.9091 0.4769 0.9351
```


For LiNbO2, a GGA-PBE-relaxed structure gives the theoretical powder diffractogram in this record (Cu Kα (weighted mean of Kα1 and Kα2)).
Kinematic intensities with the Lorentz-polarization factor, no thermal factor.

The 8 most intense peaks (10 to 90 degrees two-theta), most intense first:
- hkl 0 0 2, 5.298 Å, 2θ 16.73, intensity 1000
- hkl 1 0 3, 2.065 Å, 2θ 43.85, intensity 642
- hkl 1 0 1, 2.474 Å, 2θ 36.31, intensity 414
- hkl 1 0 5, 1.628 Å, 2θ 56.51, intensity 277
- hkl 1 0 2, 2.294 Å, 2θ 39.28, intensity 233
- hkl 1 0 0, 2.545 Å, 2θ 35.27, intensity 201
- hkl 1 1 0, 1.469 Å, 2θ 63.30, intensity 161
- hkl 1 1 2, 1.416 Å, 2θ 65.99, intensity 141

Structural model:
```
LiNbO2
1.0
2.9382 0.0000 0.0000
-1.4691 2.5446 0.0000
0.0000 0.0000 10.5962
Li Nb O
2 2 4
Direct
0.0000 0.0000 0.0000
0.0000 0.0000 0.5000
0.3333 0.6667 0.2500
0.6667 0.3333 0.7500
0.3333 0.6667 0.6233
0.3333 0.6667 0.8767
0.6667 0.3333 0.1233
0.6667 0.3333 0.3767
```